(1)
Starting from the GGA-PBE geometry in Alexandria, the XRD peak list of Dy3P2Rh5Au2 was computed for Cu Ka.
No peak broadening, texture or thermal motion is included.

Structural model:
abc: 4.0204 4.0204 26.4320
angles: 90.00 90.00 90.00
Space group I4/mmm (No. 139)
Unique sites:
Dy  0.0000  0.0000  0.0000 x2
Dy  0.0000  0.0000  0.1632 x4
P  0.0000  0.0000  0.3751 x4
Rh  0.0000  0.0000  0.5000 x2
Rh  0.0000  0.5000  0.0814 x8
Au  0.0000  0.0000  0.2765 x4

Most intense lines, 2θ from 15° to 90°, low angle first:
2θ (°), I_rel, (hkl)
31.5, 48, 1 1 0
32.2, 54, 1 1 2
32.5, 76, 1 0 7
34.3, 55, 1 1 4
37.7, 97, 1 1 6
37.9, 74, 1 0 9
41.9, 35, 1 1 8
45.1, 100, 2 0 0
60.4, 38, 2 1 9
72.4, 43, 1 1 18


(2)
Starting from the GGA-PBE geometry in Alexandria, the XRD peak list of Dy2Pd3Au was computed for Cu Ka.
No peak broadening, texture or thermal motion is included.

Structural model:
abc: 9.9479 9.9479 10.7554
angles: 90.00 90.00 90.00
Space group I4_1/amd (No. 141, origin choice 2)
Unique sites:
Dy  0.0000  0.0549  0.2247 x16
Pd  0.0000  0.0000  0.5000 x8
Pd  0.2390  0.0110  0.3750 x16
Au  0.0000  0.2500  0.0080 x8

Most intense lines, 2θ from 15° to 90°, low angle first:
2θ (°), I_rel, (hkl)
24.4, 28, 2 0 2
28.2, 41, 3 0 1
32.1, 30, 2 1 3
33.5, 53, 3 2 1
36.1, 100, 4 0 0
38.0, 67, 2 0 4
41.3, 79, 3 2 3
42.3, 27, 2 2 4
53.5, 28, 4 2 4
66.2, 23, 6 0 4


(3)
Starting from the GGA-PBE geometry in Alexandria, the XRD peak list of Dy2Pd5Au5 was computed for Cu Ka.
No peak broadening, texture or thermal motion is included.

Structural model:
abc: 13.5221 4.6327 7.6172
angles: 90.00 106.71 90.00
Space group C2/m (No. 12)
Unique sites:
Dy  0.1432  0.0000  0.2769 x4
Pd  0.0000  0.0000  0.5000 x2
Pd  0.0743  0.0000  0.8874 x4
Pd  0.2179  0.0000  0.6904 x4
Au  0.0000  0.5000  0.0000 x2
Au  0.1174  0.5000  0.5177 x4
Au  0.1934  0.5000  0.9201 x4

Most intense lines, 2θ from 15° to 90°, low angle first:
2θ (°), I_rel, (hkl)
31.4, 17, 2 0 2
33.5, 36, 1 1 2
35.5, 22, 2 0 -3
38.6, 100, 5 1 -1
38.9, 56, 0 2 0
41.6, 46, 3 1 2
41.8, 43, 3 1 -3
53.7, 13, 2 2 -3
65.1, 12, 8 0 -4
70.2, 18, 5 3 -1